(1)
Li4Os4O11: calculated powder diffractogram (copper Kα), based on a cell relaxed with PBE.

Atomic structure:
a = 5.005 Å, b = 5.197 Å, c = 7.311 Å
α = 89.77°, β = 89.67°, γ = 88.94°
Space group P1 (No. 1)
Asymmetric unit:
Li: 0.000 0.000 0.000 x1
Li: 0.022 0.884 0.509 x1
Li: 0.511 0.402 0.496 x1
Li: 0.538 0.499 0.996 x1
Os: 0.026 0.441 0.249 x1
Os: 0.032 0.445 0.751 x1
Os: 0.510 0.961 0.750 x1
Os: 0.522 0.945 0.249 x1
O: 0.164 0.396 0.998 x1
O: 0.193 0.122 0.334 x1
O: 0.325 0.652 0.676 x1
O: 0.343 0.628 0.305 x1
O: 0.378 0.914 0.997 x1
O: 0.640 0.989 0.498 x1
O: 0.700 0.260 0.177 x1
O: 0.719 0.251 0.802 x1
O: 0.843 0.757 0.178 x1
O: 0.846 0.765 0.815 x1
O: 0.891 0.476 0.498 x1

Principal peaks in the range 2θ from 5° to 70°, by angle:
2theta	d [Å]	I (rel.)
24.3	3.656	97
24.5	3.638	96
24.9	3.571	100
34.5	2.598	40
34.7	2.588	37
34.9	2.570	33
35.1	2.555	74
35.9	2.502	31
56.5	1.628	32
56.6	1.625	22

---

(2)
Fe3B2Mo2: calculated powder diffractogram (copper Kα), based on a cell relaxed with PBE.

Atomic structure:
a = 3.8408 Å, b = 3.8408 Å, c = 18.4896 Å
α = 90.00°, β = 90.00°, γ = 120.00°
Space group R3m (No. 160, hexagonal axes)
Asymmetric unit:
Fe: 0.0000 0.0000 0.0000 x3
Fe: 0.0000 0.0000 0.2528 x3
Fe: 0.0000 0.0000 0.7454 x3
B: 0.0000 0.0000 0.3800 x3
B: 0.0000 0.0000 0.8682 x3
Mo: 0.0000 0.0000 0.1290 x3
Mo: 0.0000 0.0000 0.6100 x3

Principal peaks in the range 2θ from 5° to 70°, by angle:
2theta	d [Å]	I (rel.)
14.4	6.163	10
28.5	3.130	96
29.0	3.082	31
36.3	2.473	13
43.8	2.069	20
47.3	1.920	100
47.9	1.898	83
56.2	1.637	14
56.5	1.630	27
69.7	1.350	25

---

(3)
Li2AlZn3Pd2: calculated powder diffractogram (copper Kα), based on a cell relaxed with PBE.

Atomic structure:
a = 4.308 Å, b = 4.308 Å, c = 6.085 Å
α = 90.00°, β = 90.00°, γ = 90.00°
Space group P-4m2 (No. 115)
Asymmetric unit:
Li: 0.000 0.500 0.240 x2
Al: 0.000 0.000 0.500 x1
Zn: 0.000 0.000 0.000 x1
Zn: 0.500 0.500 0.000 x1
Zn: 0.500 0.500 0.500 x1
Pd: 0.000 0.500 0.741 x2

Principal peaks in the range 2θ from 5° to 70°, by angle:
2theta	d [Å]	I (rel.)
14.6	6.085	1
20.6	4.308	2
25.3	3.516	53
32.9	2.724	2
36.1	2.485	1
42.0	2.153	100
44.7	2.029	1
49.6	1.836	25
60.8	1.523	16
67.0	1.397	10

---

(4)
Li2Ta2Al2IrOs: calculated powder diffractogram (copper Kα), based on a cell relaxed with PBE.

Atomic structure:
a = 4.356 Å, b = 4.356 Å, c = 6.159 Å
α = 90.00°, β = 90.00°, γ = 90.00°
Space group P-4m2 (No. 115)
Asymmetric unit:
Li: 0.000 0.000 0.000 x1
Li: 0.500 0.500 0.500 x1
Ta: 0.000 0.500 0.749 x2
Al: 0.000 0.500 0.254 x2
Ir: 0.500 0.500 0.000 x1
Os: 0.000 0.000 0.500 x1

Principal peaks in the range 2θ from 5° to 70°, by angle:
2theta	d [Å]	I (rel.)
25.0	3.557	88
41.5	2.178	100
49.0	1.857	44
60.1	1.540	17
66.1	1.413	18